(1)
Structure and simulated XRD peak list of BaSc3 (a crystal structure in Alexandria, relaxed with PBE; a wavelength of 1.5418 Å).

The 6 most intense peaks (10° ≤ 2θ ≤ 80°), most intense first:
32.02°, d = 2.795 Å, intensity 100
32.68°, d = 2.741 Å, intensity 95
15.86°, d = 5.590 Å, intensity 55
57.49°, d = 1.603 Å, intensity 35
46.40°, d = 1.957 Å, intensity 34
57.08°, d = 1.614 Å, intensity 18

Atomic structure:
```
BaSc3
1.0
11.179 0.000 0.000
-5.590 9.681 0.000
0.000 0.000 3.325
Ba Sc
3 9
Cartesian
0.000 0.000 0.000
0.000 6.454 2.216
5.590 3.227 1.108
-2.795 4.841 0.000
0.000 3.227 1.108
-2.795 8.068 1.108
2.795 1.614 2.216
5.590 0.000 0.000
2.795 4.841 0.000
2.795 8.068 1.108
8.384 1.614 2.216
5.590 6.454 2.216
```



(2)
Structure and simulated XRD peak list of UTl2Cl2F4 (a crystal structure in Alexandria, relaxed with PBE; a wavelength of 1.5418 Å).

The 6 most intense peaks (10° ≤ 2θ ≤ 80°), most intense first:
22.22°, d = 4.001 Å, intensity 100
24.84°, d = 3.585 Å, intensity 68
22.40°, d = 3.968 Å, intensity 47
30.99°, d = 2.886 Å, intensity 44
35.97°, d = 2.496 Å, intensity 39
27.78°, d = 3.212 Å, intensity 34

Atomic structure:
```
UTl2Cl2F4
1.0
6.505 -3.212 0.000
6.505 3.212 0.000
-0.464 0.000 5.365
U Tl Cl F
1 2 2 4
Cartesian
0.000 0.000 0.000
4.408 0.000 1.987
8.138 0.000 3.378
2.100 0.000 4.374
10.447 0.000 0.991
5.516 1.642 4.007
7.030 1.642 1.358
5.516 -1.642 4.007
7.030 -1.642 1.358
```